The following is a simulated XRD peak list of Dy2MgSe4. It was derived from a DFT-relaxed cell (GGA-PBE, the Materials Project), using Cu Kα.
No peak broadening, texture or thermal motion is included.

Principal peaks in the range 5 to 70 degrees two-theta, by angle:
d 6.756, intensity 62; d 3.528, intensity 52; d 2.926, intensity 100; d 2.252, intensity 26; d 2.069, intensity 87; d 1.978, intensity 17; d 1.689, intensity 26; d 1.463, intensity 14

Structure:
```
14
Lattice="0.0000 5.8512 5.8512 5.8512 0.0000 5.8512 5.8512 5.8512 0.0000" Properties=species:S:1:pos:R:3 pbc="T T T"
Dy 0.0000 0.0000 0.0000
Dy 2.9256 2.9256 0.0000
Dy 2.9256 0.0000 2.9256
Dy 0.0000 2.9256 2.9256
Mg 4.3884 4.3884 4.3884
Mg 7.3140 7.3140 7.3140
Se 8.8299 5.7981 5.7981
Se 2.8725 2.8725 2.8725
Se 5.9043 5.9043 2.8725
Se 5.9043 2.8725 5.9043
Se 5.7981 8.8299 5.7981
Se 5.7981 5.7981 8.8299
Se 8.8299 8.8299 8.8299
Se 2.8725 5.9043 5.9043
```